Diffraction record for Mg9Tl2Bi. The powder diffractogram is calculated, not measured: it uses a structure optimized by DFT (PBE) and λ = 1.5418 Å (Cu Kα).
Kinematic intensities with the Lorentz-polarization factor, no thermal factor.

Structural model:
```
data_Mg9Tl2Bi
_chemical_formula_sum 'Mg9 Tl2 Bi1'
_cell_length_a 4.556
_cell_length_b 4.556
_cell_length_c 13.699
_cell_angle_alpha 90.00
_cell_angle_beta 90.00
_cell_angle_gamma 90.00
_symmetry_space_group_name_H-M 'P 4/m m m'
_symmetry_Int_Tables_number 123
_symmetry_space_group_name_Hall '-P 4 2'
loop_
_atom_site_label
_atom_site_type_symbol
_atom_site_fract_x
_atom_site_fract_y
_atom_site_fract_z
_atom_site_occupancy
Mg1 Mg 0.000 0.000 0.000 1
Mg2 Mg 0.000 0.000 0.335 1
Mg3 Mg 0.000 0.500 0.174 1
Mg4 Mg 0.000 0.500 0.500 1
Tl1 Tl 0.500 0.500 0.337 1
Bi1 Bi 0.500 0.500 0.000 1
```

Largest 10 diffraction maxima, by angle, 10 to 90 degrees two-theta:
2theta	intensity
19.47	100
27.67	87
34.06	86
39.53	43
44.43	50
48.93	38
57.14	29
60.93	15
68.26	23
78.46	13



Diffraction record for MgTl2Bi2. The powder diffractogram is calculated, not measured: it uses a structure optimized by DFT (PBE) and λ = 1.5418 Å (Cu Kα).
Kinematic intensities with the Lorentz-polarization factor, no thermal factor.

Structural model:
```
data_MgTl2Bi2
_chemical_formula_sum 'Mg2 Tl4 Bi4'
_cell_length_a 5.215
_cell_length_b 5.695
_cell_length_c 12.229
_cell_angle_alpha 87.89
_cell_angle_beta 77.76
_cell_angle_gamma 63.01
_symmetry_space_group_name_H-M 'P -1'
_symmetry_Int_Tables_number 2
loop_
_symmetry_equiv_pos_as_xyz
'x,y,z'
'-x,-y,-z'
loop_
_atom_site_label
_atom_site_type_symbol
_atom_site_fract_x
_atom_site_fract_y
_atom_site_fract_z
_atom_site_occupancy
Mg1 Mg 0.202 0.005 0.095 1
Tl1 Tl 0.310 0.324 0.559 1
Tl2 Tl 0.441 0.368 0.247 1
Bi1 Bi 0.051 0.028 0.362 1
Bi2 Bi 0.148 0.317 0.886 1
```

Largest 10 diffraction maxima, by angle, 10 to 90 degrees two-theta:
2theta	intensity
26.39	50
29.50	45
31.52	18
31.65	18
31.95	35
32.11	100
34.39	42
40.94	24
54.36	23
60.20	17



Diffraction record for Mg7Tl3Bi. The powder diffractogram is calculated, not measured: it uses a structure optimized by DFT (PBE) and λ = 1.5418 Å (Cu Kα).
Kinematic intensities with the Lorentz-polarization factor, no thermal factor.

Structural model:
```
data_Mg7Tl3Bi
_chemical_formula_sum 'Mg14 Tl6 Bi2'
_cell_length_a 10.602
_cell_length_b 11.151
_cell_length_c 5.773
_cell_angle_alpha 90.00
_cell_angle_beta 122.26
_cell_angle_gamma 90.00
_symmetry_space_group_name_H-M 'C 1 2/m 1'
_symmetry_Int_Tables_number 12
loop_
_symmetry_equiv_pos_as_xyz
'x,y,z'
'-x,-y,-z'
'-x,y,-z'
'x,-y,z'
'x+1/2,y+1/2,z'
'-x+1/2,-y+1/2,-z'
'-x+1/2,y+1/2,-z'
'x+1/2,-y+1/2,z'
loop_
_atom_site_label
_atom_site_type_symbol
_atom_site_fract_x
_atom_site_fract_y
_atom_site_fract_z
_atom_site_occupancy
Mg1 Mg 0.000 0.000 0.000 1
Mg2 Mg 0.173 0.500 0.143 1
Mg3 Mg 0.174 0.275 0.676 1
Tl1 Tl 0.000 0.268 0.000 1
Tl2 Tl 0.000 0.500 0.500 1
Bi1 Bi 0.000 0.000 0.500 1
```

Largest 10 diffraction maxima, by angle, 10 to 90 degrees two-theta:
2theta	intensity
19.80	90
24.23	97
24.39	100
30.98	54
32.11	44
37.37	57
37.70	55
38.01	33
45.22	34
51.34	23



Diffraction record for Mg3Tl2Bi. The powder diffractogram is calculated, not measured: it uses a structure optimized by DFT (PBE) and λ = 1.5418 Å (Cu Kα).
Kinematic intensities with the Lorentz-polarization factor, no thermal factor.

Structural model:
```
data_Mg3Tl2Bi
_chemical_formula_sum 'Mg3 Tl2 Bi1'
_cell_length_a 3.754
_cell_length_b 3.754
_cell_length_c 10.899
_cell_angle_alpha 90.00
_cell_angle_beta 90.00
_cell_angle_gamma 90.00
_symmetry_space_group_name_H-M 'P 4/m m m'
_symmetry_Int_Tables_number 123
_symmetry_space_group_name_Hall '-P 4 2'
loop_
_atom_site_label
_atom_site_type_symbol
_atom_site_fract_x
_atom_site_fract_y
_atom_site_fract_z
_atom_site_occupancy
Mg1 Mg 0.000 0.000 0.000 1
Mg2 Mg 0.000 0.000 0.325 1
Tl1 Tl 0.500 0.500 0.166 1
Bi1 Bi 0.500 0.500 0.500 1
```

Largest 10 diffraction maxima, by angle, 10 to 90 degrees two-theta:
2theta	intensity
23.70	75
24.50	35
33.77	52
34.35	100
42.16	35
48.50	19
54.67	17
55.07	16
60.78	39
61.90	19



Diffraction record for Mg3TlBi3. The powder diffractogram is calculated, not measured: it uses a structure optimized by DFT (PBE) and λ = 1.5418 Å (Cu Kα).
Kinematic intensities with the Lorentz-polarization factor, no thermal factor.

Structural model:
```
data_Mg3TlBi3
_chemical_formula_sum 'Mg6 Tl2 Bi6'
_cell_length_a 8.164
_cell_length_b 8.164
_cell_length_c 8.164
_cell_angle_alpha 90.00
_cell_angle_beta 90.00
_cell_angle_gamma 90.00
_symmetry_space_group_name_H-M 'P m -3 n'
_symmetry_Int_Tables_number 223
_symmetry_space_group_name_Hall '-P 4n 2 3'
loop_
_atom_site_label
_atom_site_type_symbol
_atom_site_fract_x
_atom_site_fract_y
_atom_site_fract_z
_atom_site_occupancy
Mg1 Mg 0.000 0.250 0.500 1
Tl1 Tl 0.000 0.000 0.000 1
Bi1 Bi 0.000 0.500 0.250 1
```

Largest 10 diffraction maxima, by angle, 10 to 90 degrees two-theta:
2theta	intensity
21.77	41
24.38	87
26.75	100
39.81	25
41.38	64
44.38	28
51.28	25
61.13	22
62.29	19
71.20	20



Diffraction record for MgTl3Bi2. The powder diffractogram is calculated, not measured: it uses a structure optimized by DFT (PBE) and λ = 1.5418 Å (Cu Kα).
Kinematic intensities with the Lorentz-polarization factor, no thermal factor.

Structural model:
```
data_MgTl3Bi2
_chemical_formula_sum 'Mg4 Tl12 Bi8'
_cell_length_a 6.871
_cell_length_b 16.774
_cell_length_c 6.807
_cell_angle_alpha 90.00
_cell_angle_beta 90.00
_cell_angle_gamma 90.00
_symmetry_space_group_name_H-M 'I b a m'
_symmetry_Int_Tables_number 72
_symmetry_space_group_name_Hall '-I 2 2c'
loop_
_atom_site_label
_atom_site_type_symbol
_atom_site_fract_x
_atom_site_fract_y
_atom_site_fract_z
_atom_site_occupancy
Mg1 Mg 0.000 0.000 0.250 1
Tl1 Tl 0.000 0.500 0.250 1
Tl2 Tl 0.210 0.324 0.000 1
Bi1 Bi 0.211 0.123 0.000 1
```

Largest 10 diffraction maxima, by angle, 10 to 90 degrees two-theta:
2theta	intensity
21.19	17
25.94	20
26.18	29
28.13	70
28.30	29
29.62	37
33.73	42
33.92	49
37.17	100
58.22	28